For K4Nb11Al2O20F, a cell relaxed with GGA-PBE gives the simulated powder diffraction line list in this record (Cu Kα).
Kinematic intensities with the Lorentz-polarization factor, no thermal factor.

Structure:
Lattice parameters (Å, degrees): 8.9927 8.9927 8.9927 120.62 120.62 88.92
Element x y z (fractional)
K1 0.0000 0.3075 0.3075
K2 0.0000 0.6925 0.6925
K3 0.3075 0.0000 0.3075
K4 0.6925 0.0000 0.6925
Nb1 0.1761 0.1761 0.6771
Nb2 0.1761 0.4990 0.0000
Nb3 0.1847 0.1847 0.0000
Nb4 0.4990 0.1761 0.0000
Nb5 0.4990 0.4990 0.3229
Nb6 0.5000 0.5000 0.0000
Nb7 0.5010 0.5010 0.6771
Nb8 0.5010 0.8239 0.0000
Nb9 0.8153 0.8153 0.0000
Nb10 0.8239 0.5010 0.0000
Nb11 0.8239 0.8239 0.3229
Al1 0.2500 0.7500 0.5000
Al2 0.7500 0.2500 0.5000
O1 0.0054 0.6663 0.3391
O2 0.0094 0.0094 0.6693
O3 0.0094 0.3401 0.0000
O4 0.3272 0.6663 0.6609
O5 0.3303 0.3303 0.6607
O6 0.3303 0.6697 0.0000
O7 0.3337 0.6728 0.3391
O8 0.3337 0.9946 0.6609
O9 0.3401 0.0094 0.0000
O10 0.3401 0.3401 0.3307
O11 0.6599 0.6599 0.6693
O12 0.6599 0.9906 0.0000
O13 0.6663 0.0054 0.3391
O14 0.6663 0.3272 0.6609
O15 0.6697 0.3303 0.0000
O16 0.6697 0.6697 0.3393
O17 0.6728 0.3337 0.3391
O18 0.9906 0.6599 0.0000
O19 0.9906 0.9906 0.3307
O20 0.9946 0.3337 0.6609
F1 0.0000 0.0000 0.0000

Most intense lines, 2θ from 10° to 90°, by angle:
- 7.318 Å, 12.1°, intensity 478
- 6.418 Å, 13.8°, intensity 334
- 6.299 Å, 14.1°, intensity 828
- 2.916 Å, 30.7°, intensity 1000
- 2.893 Å, 30.9°, intensity 404
- 2.139 Å, 42.2°, intensity 360
- 2.100 Å, 43.1°, intensity 739
- 1.499 Å, 61.9°, intensity 462

***

For K2Al2O2F9, a cell relaxed with GGA-PBE gives the simulated powder diffraction line list in this record (Cu Kα).
Kinematic intensities with the Lorentz-polarization factor, no thermal factor.

Structure:
Lattice parameters (Å, degrees): 3.7804 11.0136 11.1962 90.00 90.08 90.00
Element x y z (fractional)
K1 0.9995 0.1828 0.1452
K2 0.9995 0.3172 0.6452
K3 0.0005 0.6828 0.3548
K4 0.0005 0.8172 0.8548
Al1 0.4993 0.1067 0.8686
Al2 0.4993 0.3933 0.3686
Al3 0.5007 0.6067 0.6314
Al4 0.5007 0.8933 0.1314
O1 0.3886 0.0646 0.4312
O2 0.3886 0.4354 0.9312
O3 0.6114 0.5646 0.0688
O4 0.6114 0.9354 0.5688
F1 0.9995 0.1003 0.8790
F2 0.9995 0.3997 0.3790
F3 0.0005 0.6003 0.6210
F4 0.0005 0.8997 0.1210
F5 0.4986 0.5277 0.2744
F6 0.4987 0.7323 0.5242
F7 0.4987 0.7677 0.0242
F8 0.4986 0.9723 0.7744
F9 0.5000 0.0000 0.0000
F10 0.4995 0.2034 0.7457
F11 0.4995 0.2966 0.2457
F12 0.5000 0.5000 0.5000
F13 0.5005 0.7034 0.7543
F14 0.5005 0.7966 0.2543
F15 0.5014 0.0277 0.2256
F16 0.5013 0.2323 0.9758
F17 0.5013 0.2677 0.4758
F18 0.5014 0.4723 0.7256

Most intense lines, 2θ from 10° to 90°, by angle:
- 7.852 Å, 11.3°, intensity 1000
- 3.780 Å, 23.5°, intensity 160
- 3.535 Å, 25.2°, intensity 198
- 3.070 Å, 29.1°, intensity 254
- 3.013 Å, 29.6°, intensity 324
- 2.250 Å, 40.1°, intensity 215
- 2.183 Å, 41.4°, intensity 234
- 1.890 Å, 48.1°, intensity 190

***

For K3Al4P2O8F9, a cell relaxed with GGA-PBE gives the simulated powder diffraction line list in this record (Cu Kα).
Kinematic intensities with the Lorentz-polarization factor, no thermal factor.

Structure:
Lattice parameters (Å, degrees): 6.8258 14.0264 7.3864 90.00 106.11 90.00
Element x y z (fractional)
K1 0.0803 0.2500 0.0411
K2 0.1881 0.5097 0.2908
K3 0.1881 0.9903 0.2908
K4 0.8119 0.0097 0.7092
K5 0.8119 0.4903 0.7092
K6 0.9197 0.7500 0.9589
Al1 0.0269 0.2500 0.5521
Al2 0.3279 0.6221 0.8190
Al3 0.3279 0.8779 0.8190
Al4 0.4841 0.7500 0.4614
Al5 0.5159 0.2500 0.5386
Al6 0.6721 0.1221 0.1810
Al7 0.6721 0.3779 0.1810
Al8 0.9731 0.7500 0.4479
P1 0.3472 0.1023 0.7847
P2 0.3472 0.3977 0.7847
P3 0.6528 0.6023 0.2153
P4 0.6528 0.8977 0.2153
O1 0.1376 0.1540 0.7235
O2 0.1376 0.3460 0.7235
O3 0.3167 0.5015 0.7114
O4 0.3167 0.9985 0.7114
O5 0.4231 0.1052 0.0018
O6 0.4231 0.3948 0.0018
O7 0.4992 0.6503 0.3050
O8 0.4992 0.8497 0.3050
O9 0.5008 0.1503 0.6950
O10 0.5008 0.3497 0.6950
O11 0.5769 0.6052 0.9982
O12 0.5769 0.8948 0.9982
O13 0.6833 0.0015 0.2886
O14 0.6833 0.4985 0.2886
O15 0.8624 0.6540 0.2765
O16 0.8624 0.8460 0.2765
F1 0.0912 0.6561 0.6211
F2 0.0912 0.8439 0.6211
F3 0.1548 0.5919 0.9538
F4 0.1548 0.9081 0.9538
F5 0.2045 0.7500 0.3679
F6 0.2345 0.2500 0.4352
F7 0.3227 0.7500 0.8901
F8 0.4732 0.6610 0.6472
F9 0.4732 0.8390 0.6472
F10 0.5268 0.1610 0.3528
F11 0.5268 0.3390 0.3528
F12 0.6773 0.2500 0.1099
F13 0.7655 0.7500 0.5648
F14 0.7955 0.2500 0.6321
F15 0.8452 0.0919 0.0462
F16 0.8452 0.4081 0.0462
F17 0.9088 0.1561 0.3789
F18 0.9088 0.3439 0.3789

Most intense lines, 2θ from 10° to 90°, by angle:
- 5.663 Å, 15.6°, intensity 498
- 3.167 Å, 28.2°, intensity 735
- 3.092 Å, 28.9°, intensity 368
- 3.024 Å, 29.5°, intensity 350
- 2.981 Å, 30.0°, intensity 1000
- 2.970 Å, 30.1°, intensity 419
- 2.831 Å, 31.6°, intensity 390
- 2.706 Å, 33.1°, intensity 545

***

For K2AlSO4F3, a cell relaxed with GGA-PBE gives the simulated powder diffraction line list in this record (Cu Kα).
Kinematic intensities with the Lorentz-polarization factor, no thermal factor.

Structure:
Lattice parameters (Å, degrees): 11.1212 8.4748 6.9619 90.00 90.00 90.00
Element x y z (fractional)
K1 0.1965 0.1758 0.2001
K2 0.1965 0.8242 0.7001
K3 0.3035 0.3242 0.7001
K4 0.3035 0.6758 0.2001
K5 0.6965 0.3242 0.7999
K6 0.6965 0.6758 0.2999
K7 0.8035 0.1758 0.2999
K8 0.8035 0.8242 0.7999
Al1 0.0000 0.5000 0.0000
Al2 0.0000 0.5000 0.5000
Al3 0.5000 0.0000 0.0000
Al4 0.5000 0.0000 0.5000
S1 0.0000 0.1920 0.7500
S2 0.0000 0.8080 0.2500
S3 0.5000 0.3080 0.2500
S4 0.5000 0.6920 0.7500
O1 0.0520 0.2976 0.5942
O2 0.0520 0.7024 0.0942
O3 0.0990 0.0981 0.8277
O4 0.0990 0.9019 0.3277
O5 0.4010 0.4019 0.3277
O6 0.4010 0.5981 0.8277
O7 0.4480 0.2024 0.0942
O8 0.4480 0.7976 0.5942
O9 0.5520 0.2024 0.4058
O10 0.5520 0.7976 0.9058
O11 0.5990 0.4019 0.1723
O12 0.5990 0.5981 0.6723
O13 0.9010 0.0981 0.6723
O14 0.9010 0.9019 0.1723
O15 0.9480 0.2976 0.9058
O16 0.9480 0.7024 0.4058
F1 0.0000 0.4163 0.2500
F2 0.0000 0.5837 0.7500
F3 0.1548 0.4478 0.9784
F4 0.1548 0.5522 0.4784
F5 0.3452 0.0522 0.4784
F6 0.3452 0.9478 0.9784
F7 0.5000 0.0837 0.7500
F8 0.5000 0.9163 0.2500
F9 0.6548 0.0522 0.0216
F10 0.6548 0.9478 0.5216
F11 0.8452 0.4478 0.5216
F12 0.8452 0.5522 0.0216

Most intense lines, 2θ from 10° to 90°, by angle:
- 6.741 Å, 13.1°, intensity 367
- 5.561 Å, 15.9°, intensity 271
- 4.843 Å, 18.3°, intensity 446
- 3.093 Å, 28.9°, intensity 605
- 3.052 Å, 29.3°, intensity 861
- 3.034 Å, 29.4°, intensity 1000
- 2.738 Å, 32.7°, intensity 274
- 2.690 Å, 33.3°, intensity 386